# Tm5Tl2Ge2
Theoretical PXRD pattern, Cu Ka. Input: the PBE geometry in Alexandria.
Peak positions follow from Bragg's law for the DFT cell and can differ from measured ones.

Atomic structure:
```
data_Tm5Tl2Ge2
_space_group_name_H-M_alt 'C m c e'
_space_group_IT_number 64
_space_group_name_Hall '-C 2ac 2'
_cell_length_a 15.497
_cell_length_b 7.733
_cell_length_c 7.696
_cell_angle_alpha 90.00
_cell_angle_beta 90.00
_cell_angle_gamma 90.00
loop_
_atom_site_label
_atom_site_fract_x
_atom_site_fract_y
_atom_site_fract_z
Tm1 0.000 0.000 0.000
Tm2 0.125 0.171 0.332
Tl1 0.215 0.000 0.000
Ge1 0.000 0.137 0.639
```

The 6 most intense peaks (2θ = 15–90°), most intense first:
- 32.76 deg, d 2.734, rel. 1000, (4 2 0)
- 34.79 deg, d 2.579, rel. 557, (4 2 1)
- 33.25 deg, d 2.695, rel. 543, (5 1 1)
- 32.84 deg, d 2.728, rel. 498, (0 2 2)
- 31.21 deg, d 2.866, rel. 440, (3 1 2)
- 37.24 deg, d 2.414, rel. 402, (1 3 1)

***

# Tm3Ge4
Theoretical PXRD pattern, Cu Ka. Input: the PBE geometry in Alexandria.
Peak positions follow from Bragg's law for the DFT cell and can differ from measured ones.

Atomic structure:
```
data_Tm3Ge4
_space_group_name_H-M_alt 'C m c m'
_space_group_IT_number 63
_space_group_name_Hall '-C 2c 2'
_cell_length_a 4.010
_cell_length_b 10.575
_cell_length_c 14.172
_cell_angle_alpha 90.00
_cell_angle_beta 90.00
_cell_angle_gamma 90.00
loop_
_atom_site_label
_atom_site_fract_x
_atom_site_fract_y
_atom_site_fract_z
Tm1 0.000 0.048 0.250
Tm2 0.000 0.331 0.097
Ge1 0.000 0.000 0.000
Ge2 0.000 0.222 0.750
Ge3 0.000 0.379 0.608
```

The 6 most intense peaks (2θ = 15–90°), most intense first:
- 34.84 deg, d 2.575, rel. 1000, (1 1 4)
- 33.86 deg, d 2.647, rel. 800, (1 3 0)
- 30.41 deg, d 2.940, rel. 519, (0 2 4)
- 34.50 deg, d 2.600, rel. 407, (0 4 1)
- 42.66 deg, d 2.119, rel. 359, (0 4 4)
- 45.22 deg, d 2.005, rel. 346, (2 0 0)

***

# Tm5Ge4
Theoretical PXRD pattern, Cu Ka. Input: the PBE geometry in Alexandria.
Peak positions follow from Bragg's law for the DFT cell and can differ from measured ones.

Atomic structure:
```
data_Tm5Ge4
_space_group_name_H-M_alt 'P n m a'
_space_group_IT_number 62
_space_group_name_Hall '-P 2ac 2n'
_cell_length_a 7.550
_cell_length_b 14.500
_cell_length_c 7.618
_cell_angle_alpha 90.00
_cell_angle_beta 90.00
_cell_angle_gamma 90.00
loop_
_atom_site_label
_atom_site_fract_x
_atom_site_fract_y
_atom_site_fract_z
Tm1 0.032 0.102 0.176
Tm2 0.120 0.618 0.340
Tm3 0.215 0.250 0.502
Ge1 0.082 0.250 0.880
Ge2 0.161 0.750 0.640
Ge3 0.221 0.044 0.532
```

The 6 most intense peaks (2θ = 15–90°), most intense first:
- 32.18 deg, d 2.781, rel. 1000, (1 3 2)
- 36.33 deg, d 2.473, rel. 573, (2 4 1)
- 37.89 deg, d 2.374, rel. 493, (1 1 3)
- 34.15 deg, d 2.626, rel. 414, (0 4 2)
- 34.30 deg, d 2.615, rel. 347, (2 4 0)
- 32.30 deg, d 2.771, rel. 342, (2 3 1)

***

# Tm4Ge
Theoretical PXRD pattern, Cu Ka. Input: the PBE geometry in Alexandria.
Peak positions follow from Bragg's law for the DFT cell and can differ from measured ones.

Atomic structure:
```
data_Tm4Ge
_space_group_name_H-M_alt 'P m -3 m'
_space_group_IT_number 221
_space_group_name_Hall '-P 4 2 3'
_cell_length_a 5.426
_cell_length_b 5.426
_cell_length_c 5.426
_cell_angle_alpha 90.00
_cell_angle_beta 90.00
_cell_angle_gamma 90.00
loop_
_atom_site_label
_atom_site_fract_x
_atom_site_fract_y
_atom_site_fract_z
Tm1 0.000 0.000 0.000
Tm2 0.000 0.500 0.500
Ge1 0.500 0.500 0.500
```

The 6 most intense peaks (2θ = 15–90°), most intense first:
- 28.49 deg, d 3.133, rel. 1000, (1 1 1)
- 33.01 deg, d 2.713, rel. 805, (2 0 0)
- 47.38 deg, d 1.919, rel. 591, (2 2 0)
- 56.22 deg, d 1.636, rel. 457, (3 1 1)
- 78.89 deg, d 1.213, rel. 266, (4 2 0)
- 88.21 deg, d 1.108, rel. 208, (4 2 2)

***

# Tm6Zn5Ge
Theoretical PXRD pattern, Cu Ka. Input: the PBE geometry in Alexandria.
Peak positions follow from Bragg's law for the DFT cell and can differ from measured ones.

Atomic structure:
```
data_Tm6Zn5Ge
_space_group_name_H-M_alt 'P 1 2/m 1'
_space_group_IT_number 10
_space_group_name_Hall '-P 2y'
_cell_length_a 4.972
_cell_length_b 6.977
_cell_length_c 7.902
_cell_angle_alpha 90.00
_cell_angle_beta 108.29
_cell_angle_gamma 90.00
loop_
_atom_site_label
_atom_site_fract_x
_atom_site_fract_y
_atom_site_fract_z
Tm1 0.000 0.247 0.000
Tm2 0.334 0.251 0.669
Zn1 0.166 0.500 0.333
Zn2 0.177 0.000 0.353
Zn3 0.500 0.500 0.000
Ge1 0.500 0.000 0.000
```

The 6 most intense peaks (2θ = 15–90°), most intense first:
- 36.20 deg, d 2.481, rel. 1000, (2 0 -1)
- 35.91 deg, d 2.501, rel. 202, (0 0 3)
- 25.26 deg, d 3.526, rel. 161, (1 0 1)
- 65.03 deg, d 1.434, rel. 143, (3 2 0)
- 51.86 deg, d 1.763, rel. 141, (2 0 2)
- 64.74 deg, d 1.440, rel. 141, (1 2 4)

***

# TmZn2Ge2
Theoretical PXRD pattern, Cu Ka. Input: the PBE geometry in Alexandria.
Peak positions follow from Bragg's law for the DFT cell and can differ from measured ones.

Atomic structure:
```
data_TmZn2Ge2
_space_group_name_H-M_alt 'C m c m'
_space_group_IT_number 63
_space_group_name_Hall '-C 2c 2'
_cell_length_a 3.982
_cell_length_b 22.551
_cell_length_c 4.030
_cell_angle_alpha 90.00
_cell_angle_beta 90.00
_cell_angle_gamma 90.00
loop_
_atom_site_label
_atom_site_fract_x
_atom_site_fract_y
_atom_site_fract_z
Tm1 0.000 0.149 0.250
Zn1 0.000 0.040 0.750
Zn2 0.000 0.458 0.750
Ge1 0.000 0.249 0.750
Ge2 0.000 0.380 0.250
```

The 6 most intense peaks (2θ = 15–90°), most intense first:
- 37.49 deg, d 2.399, rel. 1000, (1 5 1)
- 44.98 deg, d 2.015, rel. 176, (0 0 2)
- 45.56 deg, d 1.991, rel. 170, (2 0 0)
- 39.98 deg, d 2.255, rel. 133, (0 10 0)
- 77.99 deg, d 1.225, rel. 113, (1 5 3)
- 78.82 deg, d 1.214, rel. 110, (3 5 1)

***

# Tm2ZnGe
Theoretical PXRD pattern, Cu Ka. Input: the PBE geometry in Alexandria.
Peak positions follow from Bragg's law for the DFT cell and can differ from measured ones.

Atomic structure:
```
data_Tm2ZnGe
_space_group_name_H-M_alt 'A m m 2'
_space_group_IT_number 38
_space_group_name_Hall 'A 2 -2'
_cell_length_a 4.058
_cell_length_b 4.138
_cell_length_c 10.689
_cell_angle_alpha 90.00
_cell_angle_beta 90.00
_cell_angle_gamma 90.00
loop_
_atom_site_label
_atom_site_fract_x
_atom_site_fract_y
_atom_site_fract_z
Tm1 0.000 0.000 0.000
Tm2 0.500 0.000 0.282
Zn1 0.000 0.000 0.718
Ge1 0.500 0.000 0.563
```

The 6 most intense peaks (2θ = 15–90°), most intense first:
- 32.01 deg, d 2.796, rel. 1000, (1 1 1)
- 40.11 deg, d 2.248, rel. 454, (1 1 3)
- 33.18 deg, d 2.700, rel. 413, (0 1 3)
- 27.60 deg, d 3.232, rel. 287, (1 0 2)
- 33.54 deg, d 2.672, rel. 268, (0 0 4)
- 43.76 deg, d 2.069, rel. 228, (0 2 0)

***

# U4Ge
Theoretical PXRD pattern, Cu Ka. Input: the PBE geometry in Alexandria.
Peak positions follow from Bragg's law for the DFT cell and can differ from measured ones.

Atomic structure:
```
data_U4Ge
_space_group_name_H-M_alt 'C 1 2/m 1'
_space_group_IT_number 12
_space_group_name_Hall '-C 2y'
_cell_length_a 8.975
_cell_length_b 4.667
_cell_length_c 5.288
_cell_angle_alpha 90.00
_cell_angle_beta 115.83
_cell_angle_gamma 90.00
loop_
_atom_site_label
_atom_site_fract_x
_atom_site_fract_y
_atom_site_fract_z
U1 0.119 0.000 0.241
U2 0.235 0.500 0.176
Ge1 0.000 0.500 0.500
```

The 6 most intense peaks (2θ = 15–90°), most intense first:
- 35.92 deg, d 2.500, rel. 1000, (3 1 -1)
- 38.58 deg, d 2.334, rel. 595, (0 2 0)
- 39.54 deg, d 2.279, rel. 526, (1 1 -2)
- 34.83 deg, d 2.576, rel. 471, (2 0 1)
- 22.00 deg, d 4.040, rel. 458, (2 0 0)
- 55.10 deg, d 1.667, rel. 345, (5 1 -1)

***

# VGe
Theoretical PXRD pattern, Cu Ka. Input: the PBE geometry in Alexandria.
Peak positions follow from Bragg's law for the DFT cell and can differ from measured ones.

Atomic structure:
```
data_VGe
_space_group_name_H-M_alt 'I m m a'
_space_group_IT_number 74
_space_group_name_Hall '-I 2b 2'
_cell_length_a 3.494
_cell_length_b 3.907
_cell_length_c 8.329
_cell_angle_alpha 90.00
_cell_angle_beta 90.00
_cell_angle_gamma 90.00
loop_
_atom_site_label
_atom_site_fract_x
_atom_site_fract_y
_atom_site_fract_z
V1 0.000 0.250 0.131
Ge1 0.000 0.250 0.621
```

The 6 most intense peaks (2θ = 15–90°), most intense first:
- 40.87 deg, d 2.208, rel. 1000, (1 1 2)
- 43.46 deg, d 2.082, rel. 206, (0 0 4)
- 46.49 deg, d 1.953, rel. 170, (0 2 0)
- 78.00 deg, d 1.225, rel. 132, (1 1 6)
- 82.35 deg, d 1.171, rel. 118, (1 3 2)
- 52.38 deg, d 1.747, rel. 117, (2 0 0)

***

# V3Ge2
Theoretical PXRD pattern, Cu Ka. Input: the PBE geometry in Alexandria.
Peak positions follow from Bragg's law for the DFT cell and can differ from measured ones.

Atomic structure:
```
data_V3Ge2
_space_group_name_H-M_alt 'I 41/a m d'
_space_group_IT_number 141
_cell_length_a 4.777
_cell_length_b 4.777
_cell_length_c 12.653
_cell_angle_alpha 90.00
_cell_angle_beta 90.00
_cell_angle_gamma 90.00
loop_
_space_group_symop_operation_xyz
'x,y,z'
'-x,-y,-z'
'-y+1/4,x+3/4,z+1/4'
'y+1/4,-x+3/4,-z+1/4'
'-x+1/2,-y,z+1/2'
'x+1/2,y,-z+1/2'
'y+1/4,-x+1/4,z+3/4'
'-y+1/4,x+1/4,-z+3/4'
'x,-y,-z'
'-x,y,z'
'-y+1/4,-x+1/4,-z+3/4'
'y+1/4,x+1/4,z+3/4'
'-x+1/2,y,-z+1/2'
'x+1/2,-y,z+1/2'
'y+1/4,x+3/4,-z+1/4'
'-y+1/4,-x+3/4,z+1/4'
'x+1/2,y+1/2,z+1/2'
'-x+1/2,-y+1/2,-z+1/2'
'-y+3/4,x+1/4,z+3/4'
'y+3/4,-x+1/4,-z+3/4'
'-x,-y+1/2,z'
'x,y+1/2,-z'
'y+3/4,-x+3/4,z+1/4'
'-y+3/4,x+3/4,-z+1/4'
'x+1/2,-y+1/2,-z+1/2'
'-x+1/2,y+1/2,z+1/2'
'-y+3/4,-x+3/4,-z+1/4'
'y+3/4,x+3/4,z+1/4'
'-x,y+1/2,-z'
'x,-y+1/2,z'
'y+3/4,x+1/4,-z+3/4'
'-y+3/4,-x+1/4,z+3/4'
loop_
_atom_site_label
_atom_site_fract_x
_atom_site_fract_y
_atom_site_fract_z
V1 0.000 0.000 0.000
V2 0.000 0.250 0.375
Ge1 0.000 0.250 0.181
```

The 6 most intense peaks (2θ = 15–90°), most intense first:
- 40.34 deg, d 2.236, rel. 1000, (1 0 5)
- 37.66 deg, d 2.388, rel. 535, (2 0 0)
- 42.94 deg, d 2.106, rel. 532, (2 1 1)
- 47.72 deg, d 1.906, rel. 378, (2 1 3)
- 29.99 deg, d 2.980, rel. 204, (1 1 2)
- 51.06 deg, d 1.789, rel. 169, (1 1 6)

***

# VGe4
Theoretical PXRD pattern, Cu Ka. Input: the PBE geometry in Alexandria.
Peak positions follow from Bragg's law for the DFT cell and can differ from measured ones.

Atomic structure:
```
data_VGe4
_space_group_name_H-M_alt 'P m -3 m'
_space_group_IT_number 221
_space_group_name_Hall '-P 4 2 3'
_cell_length_a 4.764
_cell_length_b 4.764
_cell_length_c 4.764
_cell_angle_alpha 90.00
_cell_angle_beta 90.00
_cell_angle_gamma 90.00
loop_
_atom_site_label
_atom_site_fract_x
_atom_site_fract_y
_atom_site_fract_z
V1 0.000 0.000 0.000
Ge1 0.000 0.000 0.500
Ge2 0.500 0.500 0.500
```

The 6 most intense peaks (2θ = 15–90°), most intense first:
- 32.56 deg, d 2.750, rel. 1000, (1 1 1)
- 37.77 deg, d 2.382, rel. 979, (2 0 0)
- 54.48 deg, d 1.684, rel. 657, (2 2 0)
- 64.93 deg, d 1.436, rel. 406, (3 1 1)
- 68.20 deg, d 1.375, rel. 218, (2 2 2)
- 89.73 deg, d 1.093, rel. 173, (3 3 1)

***

# V13Ge2
Theoretical PXRD pattern, Cu Ka. Input: the PBE geometry in Alexandria.
Peak positions follow from Bragg's law for the DFT cell and can differ from measured ones.

Atomic structure:
```
data_V13Ge2
_space_group_name_H-M_alt 'R -3 m'
_space_group_IT_number 166
_space_group_name_Hall '-R 3 2"'
_cell_length_a 6.9773
_cell_length_b 6.9773
_cell_length_c 15.6051
_cell_angle_alpha 90.00
_cell_angle_beta 90.00
_cell_angle_gamma 120.00
loop_
_atom_site_label
_atom_site_fract_x
_atom_site_fract_y
_atom_site_fract_z
V1 0.0000 0.0000 0.0000
V2 0.0465 0.5233 0.3969
V3 0.0819 0.5409 0.2325
Ge1 0.0000 0.0000 0.1521
```

The 6 most intense peaks (2θ = 15–90°), most intense first:
- 39.89 deg, d 2.260, rel. 1000, (2 1 1)
- 41.60 deg, d 2.171, rel. 529, (2 0 5)
- 57.91 deg, d 1.592, rel. 359, (0 3 6)
- 52.46 deg, d 1.744, rel. 343, (2 2 0)
- 43.40 deg, d 2.085, rel. 328, (1 1 6)
- 43.26 deg, d 2.091, rel. 309, (1 0 7)

***

# VGe2
Theoretical PXRD pattern, Cu Ka. Input: the PBE geometry in Alexandria.
Peak positions follow from Bragg's law for the DFT cell and can differ from measured ones.

Atomic structure:
```
data_VGe2
_space_group_name_H-M_alt 'P 62 2 2'
_space_group_IT_number 180
_space_group_name_Hall 'P 62 2 (0 0 4)'
_cell_length_a 4.8136
_cell_length_b 4.8136
_cell_length_c 6.6252
_cell_angle_alpha 90.00
_cell_angle_beta 90.00
_cell_angle_gamma 120.00
loop_
_atom_site_label
_atom_site_fract_x
_atom_site_fract_y
_atom_site_fract_z
V1 0.0000 0.5000 0.1667
Ge1 0.1666 0.3332 0.5000
```

The 6 most intense peaks (2θ = 15–90°), most intense first:
- 39.85 deg, d 2.262, rel. 1000, (1 1 1)
- 46.65 deg, d 1.947, rel. 627, (1 1 2)
- 40.86 deg, d 2.208, rel. 349, (0 0 3)
- 68.81 deg, d 1.364, rel. 187, (1 1 4)
- 69.06 deg, d 1.360, rel. 184, (3 0 1)
- 73.97 deg, d 1.281, rel. 152, (3 0 2)